1.
Starting from DFT lattice parameters and positions (GGA-PBE), the powder X-ray diffraction pattern of NaBH4 was computed for λ = 1.5418 Å (Cu Kα).
Intensities are scaled so that the largest is 100.

Top 10 peaks for 2θ from 5° to 70°, in order of falling intensity:
29.88°, intensity 100.0, hkl 2 1 0; 42.56°, intensity 62.3, hkl 2 1 2; 29.60°, intensity 51.0, hkl 0 0 2; 25.04°, intensity 22.4, hkl 0 1 1; 26.39°, intensity 19.5, hkl 2 0 1; 41.01°, intensity 19.4, hkl 0 2 0; 51.39°, intensity 16.4, hkl 0 2 2; 49.43°, intensity 14.4, hkl 2 2 1; 54.32°, intensity 12.7, hkl 4 0 2; 44.46°, intensity 12.6, hkl 4 0 0

Atomic structure:
```
data_NaBH4
_cell_length_a 8.1502
_cell_length_b 4.4011
_cell_length_c 6.0365
_cell_angle_alpha 90.00
_cell_angle_beta 90.00
_cell_angle_gamma 90.00
_symmetry_space_group_name_H-M 'P n m a'
_symmetry_Int_Tables_number 62
_symmetry_space_group_name_Hall '-P 2ac 2n'
loop_
_atom_site_label
_atom_site_type_symbol
_atom_site_fract_x
_atom_site_fract_y
_atom_site_fract_z
Na1 Na 0.1402 0.2500 0.2318
B1 B 0.1058 0.2500 0.7301
H1 H 0.0196 0.7500 0.3813
H2 H 0.1099 0.0237 0.8490
H3 H 0.2268 0.2500 0.6098
```

2.
Starting from DFT lattice parameters and positions (GGA-PBE), the powder X-ray diffraction pattern of NaBH4 was computed for λ = 1.5418 Å (Cu Kα).
Intensities are scaled so that the largest is 100.

Top 10 peaks for 2θ from 5° to 70°, in order of falling intensity:
29.15°, intensity 100.0, hkl 1 1 0; 42.57°, intensity 60.4, hkl 1 1 2; 30.33°, intensity 43.8, hkl 0 0 2; 25.52°, intensity 37.9, hkl 1 0 1; 41.69°, intensity 32.3, hkl 2 0 0; 52.42°, intensity 30.2, hkl 2 0 2; 49.52°, intensity 25.5, hkl 2 1 1; 68.48°, intensity 11.8, hkl 3 1 0; 51.04°, intensity 11.7, hkl 1 0 3; 69.11°, intensity 11.6, hkl 2 2 2

Atomic structure:
```
data_NaBH4
_cell_length_a 4.3326
_cell_length_b 4.3326
_cell_length_c 5.8938
_cell_angle_alpha 90.00
_cell_angle_beta 90.00
_cell_angle_gamma 90.00
_symmetry_space_group_name_H-M 'P 42/n m c'
_symmetry_Int_Tables_number 137
loop_
_symmetry_equiv_pos_as_xyz
'x,y,z'
'-x,-y,-z'
'-y+1/2,x,z+1/2'
'y+1/2,-x,-z+1/2'
'-x+1/2,-y+1/2,z'
'x+1/2,y+1/2,-z'
'y,-x+1/2,z+1/2'
'-y,x+1/2,-z+1/2'
'x+1/2,-y,-z'
'-x+1/2,y,z'
'-y,-x,-z+1/2'
'y,x,z+1/2'
'-x,y+1/2,-z'
'x,-y+1/2,z'
'y+1/2,x+1/2,-z+1/2'
'-y+1/2,-x+1/2,z+1/2'
loop_
_atom_site_label
_atom_site_type_symbol
_atom_site_fract_x
_atom_site_fract_y
_atom_site_fract_z
Na1 Na 0.2500 0.7500 0.2500
B1 B 0.2500 0.7500 0.7500
H1 H 0.0183 0.7500 0.6306
```

3.
Starting from DFT lattice parameters and positions (GGA-PBE), the powder X-ray diffraction pattern of NaBH4 was computed for λ = 1.5418 Å (Cu Kα).
Intensities are scaled so that the largest is 100.

Top 10 peaks for 2θ from 5° to 70°, in order of falling intensity:
29.19°, intensity 100.0, hkl 1 1 0; 42.61°, intensity 60.0, hkl 1 1 2; 30.36°, intensity 43.3, hkl 0 0 2; 25.55°, intensity 38.0, hkl 1 0 1; 41.75°, intensity 31.6, hkl 2 0 0; 52.49°, intensity 29.9, hkl 2 0 2; 49.59°, intensity 25.1, hkl 2 1 1; 51.09°, intensity 11.7, hkl 1 0 3; 68.59°, intensity 11.7, hkl 3 1 0; 69.21°, intensity 11.5, hkl 2 2 2

Atomic structure:
```
data_NaBH4
_cell_length_a 4.3269
_cell_length_b 4.3269
_cell_length_c 5.8889
_cell_angle_alpha 90.00
_cell_angle_beta 90.00
_cell_angle_gamma 90.00
_symmetry_space_group_name_H-M 'P -4 21 c'
_symmetry_Int_Tables_number 114
_symmetry_space_group_name_Hall 'P -4 2n'
loop_
_atom_site_label
_atom_site_type_symbol
_atom_site_fract_x
_atom_site_fract_y
_atom_site_fract_z
Na1 Na 0.0000 0.0000 0.0000
B1 B 0.0000 0.0000 0.5000
H1 H 0.0386 0.2281 0.6207
```

4.
Starting from DFT lattice parameters and positions (GGA-PBE), the powder X-ray diffraction pattern of NaBH4 was computed for λ = 1.5418 Å (Cu Kα).
Intensities are scaled so that the largest is 100.

Top 10 peaks for 2θ from 5° to 70°, in order of falling intensity:
25.11°, intensity 100.0, hkl 2 0 1; 40.00°, intensity 41.4, hkl 2 1 2; 20.48°, intensity 40.1, hkl 2 0 0; 43.68°, intensity 39.2, hkl 2 2 1; 22.61°, intensity 37.4, hkl 0 1 1; 26.98°, intensity 31.8, hkl 2 1 0; 35.15°, intensity 30.4, hkl 0 2 0; 28.97°, intensity 22.9, hkl 0 0 2; 24.86°, intensity 22.2, hkl 1 1 1; 47.72°, intensity 19.4, hkl 0 1 3

Atomic structure:
```
data_NaBH4
_cell_length_a 8.6718
_cell_length_b 5.1067
_cell_length_c 6.1633
_cell_angle_alpha 90.00
_cell_angle_beta 90.00
_cell_angle_gamma 90.00
_symmetry_space_group_name_H-M 'P n m a'
_symmetry_Int_Tables_number 62
_symmetry_space_group_name_Hall '-P 2ac 2n'
loop_
_atom_site_label
_atom_site_type_symbol
_atom_site_fract_x
_atom_site_fract_y
_atom_site_fract_z
Na1 Na 0.1514 0.2500 0.2434
B1 B 0.2022 0.7500 0.3813
H1 H 0.1396 0.7500 0.2033
H2 H 0.1564 0.2500 0.8564
H3 H 0.1624 0.5595 0.4895
```

5.
Starting from DFT lattice parameters and positions (GGA-PBE), the powder X-ray diffraction pattern of NaBH4 was computed for λ = 1.5418 Å (Cu Kα).
Intensities are scaled so that the largest is 100.

Top 10 peaks for 2θ from 5° to 70°, in order of falling intensity:
19.38°, intensity 100.0, hkl 1 0 0; 20.19°, intensity 84.1, hkl 0 1 0; 20.75°, intensity 62.8, hkl 1 0 -1; 31.36°, intensity 62.1, hkl 0 1 2; 39.52°, intensity 38.9, hkl 1 1 2; 34.59°, intensity 35.9, hkl 1 1 -2; 23.45°, intensity 26.4, hkl 0 1 1; 41.05°, intensity 22.1, hkl 0 2 0; 38.91°, intensity 21.8, hkl 2 0 -1; 53.15°, intensity 20.2, hkl 2 1 -3

Atomic structure:
```
data_NaBH4
_cell_length_a 4.6627
_cell_length_b 4.3979
_cell_length_c 7.6310
_cell_angle_alpha 90.00
_cell_angle_beta 100.78
_cell_angle_gamma 90.00
_symmetry_space_group_name_H-M 'P 1 m 1'
_symmetry_Int_Tables_number 6
_symmetry_space_group_name_Hall 'P -2y'
loop_
_atom_site_label
_atom_site_type_symbol
_atom_site_fract_x
_atom_site_fract_y
_atom_site_fract_z
Na1 Na 0.0000 0.0000 0.0000
Na2 Na 0.1853 0.0000 0.4901
B1 B 0.0864 0.5000 0.2290
B2 B 0.7664 0.0000 0.6760
H1 H 0.1819 0.5000 0.0887
H2 H 0.2953 0.5000 0.3534
H3 H 0.5609 0.0000 0.7567
H4 H 0.6804 0.0000 0.5142
H5 H 0.9132 0.2305 0.7163
H6 H 0.9282 0.2791 0.2368
```

6.
Starting from DFT lattice parameters and positions (GGA-PBE), the powder X-ray diffraction pattern of NaBH4 was computed for λ = 1.5418 Å (Cu Kα).
Intensities are scaled so that the largest is 100.

Top 8 peaks for 2θ from 5° to 70°, in order of falling intensity:
29.42°, intensity 100.0, hkl 2 0 0; 42.09°, intensity 64.6, hkl 2 2 0; 25.41°, intensity 26.3, hkl 1 1 1; 49.81°, intensity 25.9, hkl 3 1 1; 69.19°, intensity 23.6, hkl 4 2 0; 52.19°, intensity 21.1, hkl 2 2 2; 61.04°, intensity 7.5, hkl 4 0 0; 67.21°, intensity 7.4, hkl 3 3 1

Atomic structure:
```
data_NaBH4
_cell_length_a 6.0719
_cell_length_b 6.0719
_cell_length_c 6.0719
_cell_angle_alpha 90.00
_cell_angle_beta 90.00
_cell_angle_gamma 90.00
_symmetry_space_group_name_H-M 'P -4 3 m'
_symmetry_Int_Tables_number 215
_symmetry_space_group_name_Hall 'P -4 2 3'
loop_
_atom_site_label
_atom_site_type_symbol
_atom_site_fract_x
_atom_site_fract_y
_atom_site_fract_z
Na1 Na 0.0000 0.0000 0.0000
Na2 Na 0.0000 0.5000 0.5000
B1 B 0.0000 0.0000 0.5000
B2 B 0.5000 0.5000 0.5000
H1 H 0.1164 0.1164 0.3836
H2 H 0.3833 0.3833 0.6167
```

7.
Starting from DFT lattice parameters and positions (GGA-PBE), the powder X-ray diffraction pattern of NaBH4 was computed for λ = 1.5418 Å (Cu Kα).
Intensities are scaled so that the largest is 100.

Top 8 peaks for 2θ from 5° to 70°, in order of falling intensity:
29.47°, intensity 100.0, hkl 2 0 0; 42.16°, intensity 64.6, hkl 2 2 0; 25.45°, intensity 27.1, hkl 1 1 1; 49.89°, intensity 26.1, hkl 3 1 1; 69.31°, intensity 23.6, hkl 4 2 0; 52.27°, intensity 21.4, hkl 2 2 2; 61.14°, intensity 7.5, hkl 4 0 0; 67.32°, intensity 7.4, hkl 3 3 1

Atomic structure:
```
data_NaBH4
_cell_length_a 6.0628
_cell_length_b 6.0628
_cell_length_c 6.0628
_cell_angle_alpha 90.00
_cell_angle_beta 90.00
_cell_angle_gamma 90.00
_symmetry_space_group_name_H-M 'F -4 3 m'
_symmetry_Int_Tables_number 216
_symmetry_space_group_name_Hall 'F -4 2 3'
loop_
_atom_site_label
_atom_site_type_symbol
_atom_site_fract_x
_atom_site_fract_y
_atom_site_fract_z
Na1 Na 0.0000 0.0000 0.0000
B1 B 0.0000 0.0000 0.5000
H1 H 0.1169 0.1169 0.3831
```

8.
Starting from DFT lattice parameters and positions (GGA-PBE), the powder X-ray diffraction pattern of NaBH4 was computed for λ = 1.5418 Å (Cu Kα).
Intensities are scaled so that the largest is 100.

Top 10 peaks for 2θ from 5° to 70°, in order of falling intensity:
16.29°, intensity 100.0, hkl 1 0 1; 23.02°, intensity 63.9, hkl 0 1 1; 30.75°, intensity 38.8, hkl 3 0 1; 43.56°, intensity 30.2, hkl 3 1 2; 24.79°, intensity 28.2, hkl 1 1 1; 34.40°, intensity 25.7, hkl 1 1 2; 37.64°, intensity 18.2, hkl 0 2 0; 49.36°, intensity 15.7, hkl 3 2 1; 41.26°, intensity 13.7, hkl 1 2 1; 36.95°, intensity 13.6, hkl 4 0 0

Atomic structure:
```
data_NaBH4
_cell_length_a 9.7298
_cell_length_b 4.7795
_cell_length_c 6.5659
_cell_angle_alpha 90.00
_cell_angle_beta 90.00
_cell_angle_gamma 90.00
_symmetry_space_group_name_H-M 'P n m a'
_symmetry_Int_Tables_number 62
_symmetry_space_group_name_Hall '-P 2ac 2n'
loop_
_atom_site_label
_atom_site_type_symbol
_atom_site_fract_x
_atom_site_fract_y
_atom_site_fract_z
Na1 Na 0.1464 0.2500 0.0831
B1 B 0.1386 0.7500 0.8474
H1 H 0.0466 0.7500 0.7200
H2 H 0.0934 0.7500 0.0229
H3 H 0.2100 0.5406 0.8226
```

9.
Starting from DFT lattice parameters and positions (GGA-PBE), the powder X-ray diffraction pattern of NaBH8O6 was computed for λ = 1.5418 Å (Cu Kα).
Intensities are scaled so that the largest is 100.

Top 10 peaks for 2θ from 5° to 70°, in order of falling intensity:
30.13°, intensity 100.0, hkl 0 2 0; 17.12°, intensity 59.7, hkl 1 1 1; 16.31°, intensity 49.5, hkl 1 0 0; 31.19°, intensity 44.3, hkl 2 1 0; 30.26°, intensity 38.9, hkl 1 1 3; 16.64°, intensity 28.1, hkl 0 1 1; 10.54°, intensity 27.9, hkl 0 0 1; 36.45°, intensity 23.1, hkl 2 1 -1; 34.67°, intensity 20.7, hkl 2 0 2; 42.19°, intensity 18.9, hkl 1 0 4

Atomic structure:
```
data_NaBH8O6
_cell_length_a 6.1266
_cell_length_b 6.5965
_cell_length_c 9.0521
_cell_angle_alpha 72.98
_cell_angle_beta 70.63
_cell_angle_gamma 66.14
_symmetry_space_group_name_H-M 'P -1'
_symmetry_Int_Tables_number 2
_symmetry_space_group_name_Hall '-P 1'
loop_
_atom_site_label
_atom_site_type_symbol
_atom_site_fract_x
_atom_site_fract_y
_atom_site_fract_z
Na1 Na 0.1406 0.2108 0.3548
B1 B 0.2426 0.7820 0.8681
H1 H 0.0666 0.6923 0.2058
H2 H 0.1214 0.0946 0.0668
H3 H 0.2804 0.0684 0.6629
H4 H 0.3237 0.3628 0.7693
H5 H 0.3611 0.7770 0.5718
H6 H 0.3865 0.7078 0.4112
H7 H 0.4182 0.7120 0.0395
H8 H 0.4295 0.3824 0.7819
O1 O 0.0063 0.8149 0.8560
O2 O 0.0479 0.3710 0.7026
O3 O 0.1692 0.1994 0.6023
O4 O 0.2508 0.7624 0.0296
O5 O 0.2745 0.8080 0.4863
O6 O 0.4356 0.7797 0.7452
```

10.
Starting from DFT lattice parameters and positions (GGA-PBE), the powder X-ray diffraction pattern of Na3B3H2O7 was computed for λ = 1.5418 Å (Cu Kα).
Intensities are scaled so that the largest is 100.

Top 10 peaks for 2θ from 5° to 70°, in order of falling intensity:
18.26°, intensity 100.0, hkl 0 0 2; 24.54°, intensity 95.9, hkl 0 2 0; 30.77°, intensity 89.4, hkl 0 2 2; 41.42°, intensity 70.5, hkl 4 0 1; 46.13°, intensity 66.0, hkl 1 2 4; 28.09°, intensity 62.1, hkl 1 2 1; 32.39°, intensity 60.8, hkl 1 2 2; 50.31°, intensity 52.1, hkl 0 4 0; 36.89°, intensity 50.5, hkl 2 2 2; 43.52°, intensity 46.1, hkl 3 2 2

Atomic structure:
```
data_Na3B3H2O7
_cell_length_a 8.9473
_cell_length_b 7.2547
_cell_length_c 9.7091
_cell_angle_alpha 90.00
_cell_angle_beta 90.00
_cell_angle_gamma 90.00
_symmetry_space_group_name_H-M 'P n m a'
_symmetry_Int_Tables_number 62
_symmetry_space_group_name_Hall '-P 2ac 2n'
loop_
_atom_site_label
_atom_site_type_symbol
_atom_site_fract_x
_atom_site_fract_y
_atom_site_fract_z
Na1 Na 0.0361 0.2500 0.1700
Na2 Na 0.2286 0.5023 0.8028
B1 B 0.0145 0.7500 0.2865
B2 B 0.0956 0.7500 0.5418
B3 B 0.1762 0.2500 0.5189
H1 H 0.0846 0.6244 0.1107
O1 O 0.0342 0.5831 0.1971
O2 O 0.0603 0.2500 0.4201
O3 O 0.1263 0.7500 0.3999
O4 O 0.1382 0.2500 0.6574
O5 O 0.1800 0.7500 0.9766
O6 O 0.2000 0.7500 0.6389
```